Record 1
# CdGa2Br4
Theoretical powder X-ray diffraction pattern, a wavelength of 1.5418 Å. Input: the PBE geometry in Alexandria.
Lines closer than 0.1° are merged.

Structure:
```
data_CdGa2Br4
_symmetry_space_group_name_H-M 'P b a m'
_symmetry_Int_Tables_number 55
_cell_length_a 8.8991
_cell_length_b 12.3808
_cell_length_c 4.2244
_cell_angle_alpha 90.00
_cell_angle_beta 90.00
_cell_angle_gamma 90.00
loop_
_symmetry_equiv_pos_as_xyz
'x,y,z'
'-x,-y,-z'
'-x,-y,z'
'x,y,-z'
'x+1/2,-y+1/2,-z'
'-x+1/2,y+1/2,z'
'-x+1/2,y+1/2,-z'
'x+1/2,-y+1/2,z'
loop_
_atom_site_label
_atom_site_fract_x
_atom_site_fract_y
_atom_site_fract_z
Cd1 0.0000 0.0000 0.0000
Ga1 0.1565 0.2891 0.5000
Br1 0.0955 0.7854 0.0000
Br2 0.2049 0.0507 0.5000
```

Peak list (10 most intense, 5 to 70 degrees two-theta, in order of rising 2θ)
- 2θ = 12.25°, I = 1000
- 2θ = 24.41°, I = 209
- 2θ = 28.84°, I = 283
- 2θ = 29.15°, I = 623
- 2θ = 30.05°, I = 802
- 2θ = 30.58°, I = 424
- 2θ = 37.75°, I = 217
- 2θ = 42.81°, I = 273
- 2θ = 43.23°, I = 496
- 2θ = 43.57°, I = 294

---

Record 2
# TbNdDy4Se8
Theoretical powder X-ray diffraction pattern, a wavelength of 1.5418 Å. Input: the PBE geometry in Alexandria.
Lines closer than 0.1° are merged.

Structure:
```
data_TbNdDy4Se8
_symmetry_space_group_name_H-M 'R 3 m'
_symmetry_Int_Tables_number 160
_symmetry_space_group_name_Hall 'R 3 -2"'
_cell_length_a 8.4669
_cell_length_b 8.4669
_cell_length_c 20.7675
_cell_angle_alpha 90.00
_cell_angle_beta 90.00
_cell_angle_gamma 120.00
loop_
_atom_site_label
_atom_site_fract_x
_atom_site_fract_y
_atom_site_fract_z
Tb1 0.0000 0.0000 0.0000
Nd1 0.0000 0.0000 0.3753
Dy1 0.0000 0.0000 0.6258
Dy2 0.0022 0.5011 0.5010
Se1 0.0000 0.0000 0.2396
Se2 0.0000 0.0000 0.7578
Se3 0.0276 0.5138 0.7547
Se4 0.1756 0.3513 0.5813
```

Peak list (10 most intense, 5 to 70 degrees two-theta, in order of rising 2θ)
- 2θ = 12.80°, I = 134
- 2θ = 20.97°, I = 260
- 2θ = 24.65°, I = 957
- 2θ = 29.83°, I = 509
- 2θ = 39.07°, I = 514
- 2θ = 42.70°, I = 1000
- 2θ = 49.92°, I = 146
- 2θ = 59.25°, I = 229
- 2θ = 61.97°, I = 158
- 2θ = 67.73°, I = 127

---

Record 3
# Ni4AsPt
Theoretical powder X-ray diffraction pattern, a wavelength of 1.5418 Å. Input: the PBE geometry in Alexandria.
Lines closer than 0.1° are merged.

Structure:
```
data_Ni4AsPt
_symmetry_space_group_name_H-M 'I 41/a'
_symmetry_Int_Tables_number 88
_cell_length_a 6.2677
_cell_length_b 6.2677
_cell_length_c 8.4920
_cell_angle_alpha 90.00
_cell_angle_beta 90.00
_cell_angle_gamma 90.00
loop_
_symmetry_equiv_pos_as_xyz
'x,y,z'
'-x,-y,-z'
'-y+3/4,x+1/4,z+1/4'
'y+3/4,-x+1/4,-z+1/4'
'-x+1/2,-y,z+1/2'
'x+1/2,y,-z+1/2'
'y+3/4,-x+3/4,z+3/4'
'-y+3/4,x+3/4,-z+3/4'
'x+1/2,y+1/2,z+1/2'
'-x+1/2,-y+1/2,-z+1/2'
'-y+1/4,x+3/4,z+3/4'
'y+1/4,-x+3/4,-z+3/4'
'-x,-y+1/2,z'
'x,y+1/2,-z'
'y+1/4,-x+1/4,z+1/4'
'-y+1/4,x+1/4,-z+1/4'
loop_
_atom_site_label
_atom_site_fract_x
_atom_site_fract_y
_atom_site_fract_z
Ni1 0.1256 0.0976 0.3881
As1 0.0000 0.2500 0.6250
Pt1 0.0000 0.2500 0.1250
```

Peak list (10 most intense, 5 to 70 degrees two-theta, in order of rising 2θ)
- 2θ = 17.59°, I = 150
- 2θ = 28.48°, I = 368
- 2θ = 29.13°, I = 372
- 2θ = 33.67°, I = 560
- 2θ = 40.72°, I = 207
- 2θ = 42.58°, I = 330
- 2θ = 45.54°, I = 226
- 2θ = 50.84°, I = 1000
- 2θ = 52.03°, I = 145
- 2θ = 66.74°, I = 136

---

Record 4
# AcGa2Se4
Theoretical powder X-ray diffraction pattern, a wavelength of 1.5418 Å. Input: the PBE geometry in Alexandria.
Lines closer than 0.1° are merged.

Structure:
```
data_AcGa2Se4
_symmetry_space_group_name_H-M 'I 4/m'
_symmetry_Int_Tables_number 87
_symmetry_space_group_name_Hall '-I 4'
_cell_length_a 7.8742
_cell_length_b 7.8742
_cell_length_c 6.3246
_cell_angle_alpha 90.00
_cell_angle_beta 90.00
_cell_angle_gamma 90.00
loop_
_atom_site_label
_atom_site_fract_x
_atom_site_fract_y
_atom_site_fract_z
Ac1 0.0000 0.0000 0.0000
Ga1 0.0000 0.5000 0.2500
Se1 0.1534 0.6972 0.5000
```

Peak list (10 most intense, 5 to 70 degrees two-theta, in order of rising 2θ)
- 2θ = 17.99°, I = 403
- 2θ = 28.22°, I = 166
- 2θ = 29.02°, I = 1000
- 2θ = 32.15°, I = 319
- 2θ = 32.56°, I = 282
- 2θ = 46.41°, I = 568
- 2θ = 49.88°, I = 137
- 2θ = 50.45°, I = 216
- 2θ = 51.93°, I = 166
- 2θ = 60.59°, I = 198

---

Record 5
# Pr4Sm2Tm
Theoretical powder X-ray diffraction pattern, a wavelength of 1.5418 Å. Input: the PBE geometry in Alexandria.
Lines closer than 0.1° are merged.

Structure:
```
data_Pr4Sm2Tm
_symmetry_space_group_name_H-M 'F d d 2'
_symmetry_Int_Tables_number 43
_symmetry_space_group_name_Hall 'F 2 -2d'
_cell_length_a 12.1679
_cell_length_b 24.5487
_cell_length_c 6.5387
_cell_angle_alpha 90.00
_cell_angle_beta 90.00
_cell_angle_gamma 90.00
loop_
_atom_site_label
_atom_site_fract_x
_atom_site_fract_y
_atom_site_fract_z
Pr1 0.0512 0.0696 0.0000
Pr2 0.0663 0.1437 0.5299
Sm1 0.0230 0.2146 0.0519
Tm1 0.0000 0.0000 0.4974
```

Peak list (10 most intense, 5 to 70 degrees two-theta, in order of rising 2θ)
- 2θ = 29.36°, I = 120
- 2θ = 29.83°, I = 1000
- 2θ = 30.27°, I = 308
- 2θ = 31.05°, I = 654
- 2θ = 31.72°, I = 311
- 2θ = 31.92°, I = 230
- 2θ = 36.55°, I = 284
- 2θ = 49.83°, I = 206
- 2θ = 54.47°, I = 219
- 2θ = 59.85°, I = 142

---

Record 6
# Ac4CuPb2N2
Theoretical powder X-ray diffraction pattern, a wavelength of 1.5418 Å. Input: the PBE geometry in Alexandria.
Lines closer than 0.1° are merged.

Structure:
```
data_Ac4CuPb2N2
_symmetry_space_group_name_H-M 'C 1 2/m 1'
_symmetry_Int_Tables_number 12
_cell_length_a 16.3701
_cell_length_b 4.1928
_cell_length_c 8.6774
_cell_angle_alpha 90.00
_cell_angle_beta 108.49
_cell_angle_gamma 90.00
loop_
_symmetry_equiv_pos_as_xyz
'x,y,z'
'-x,-y,-z'
'-x,y,-z'
'x,-y,z'
'x+1/2,y+1/2,z'
'-x+1/2,-y+1/2,-z'
'-x+1/2,y+1/2,-z'
'x+1/2,-y+1/2,z'
loop_
_atom_site_label
_atom_site_fract_x
_atom_site_fract_y
_atom_site_fract_z
Ac1 0.0373 0.0000 0.2760
Ac2 0.2123 0.5000 0.6500
Cu1 0.0000 0.5000 0.5000
Pb1 0.1172 0.5000 0.0158
N1 0.1720 0.0000 0.4837
```

Peak list (10 most intense, 5 to 70 degrees two-theta, in order of rising 2θ)
- 2θ = 25.31°, I = 450
- 2θ = 26.09°, I = 545
- 2θ = 27.38°, I = 485
- 2θ = 28.36°, I = 624
- 2θ = 29.65°, I = 1000
- 2θ = 34.81°, I = 598
- 2θ = 43.15°, I = 235
- 2θ = 47.39°, I = 274
- 2θ = 52.45°, I = 236
- 2θ = 57.75°, I = 277

---

Record 7
# Sm4SnRu2
Theoretical powder X-ray diffraction pattern, a wavelength of 1.5418 Å. Input: the PBE geometry in Alexandria.
Lines closer than 0.1° are merged.

Structure:
```
data_Sm4SnRu2
_symmetry_space_group_name_H-M 'P 1'
_symmetry_Int_Tables_number 1
_cell_length_a 7.0283
_cell_length_b 7.5987
_cell_length_c 7.9806
_cell_angle_alpha 105.85
_cell_angle_beta 106.36
_cell_angle_gamma 104.25
loop_
_symmetry_equiv_pos_as_xyz
'x,y,z'
loop_
_atom_site_label
_atom_site_fract_x
_atom_site_fract_y
_atom_site_fract_z
Sm1 0.0000 0.0000 0.0000
Sm2 0.0074 0.0798 0.5655
Sm3 0.2241 0.7385 0.3683
Sm4 0.4467 0.6253 0.7820
Sm5 0.5784 0.0547 0.1813
Sm6 0.6022 0.1882 0.7802
Sm7 0.6122 0.5584 0.2267
Sm8 0.8943 0.5541 0.6334
Sn1 0.1209 0.4287 0.9657
Sn2 0.3321 0.2859 0.4009
Ru1 0.2489 0.9058 0.7649
Ru2 0.6682 0.8288 0.5985
Ru3 0.8359 0.6172 0.0080
Ru4 0.9311 0.3429 0.2302
```

Peak list (10 most intense, 5 to 70 degrees two-theta, in order of rising 2θ)
- 2θ = 28.76°, I = 371
- 2θ = 29.81°, I = 681
- 2θ = 29.96°, I = 292
- 2θ = 31.67°, I = 382
- 2θ = 32.01°, I = 417
- 2θ = 33.20°, I = 1000
- 2θ = 33.97°, I = 771
- 2θ = 35.07°, I = 613
- 2θ = 39.82°, I = 318
- 2θ = 41.13°, I = 298

---

Record 8
# Mn2Be9Mo
Theoretical powder X-ray diffraction pattern, a wavelength of 1.5418 Å. Input: the PBE geometry in Alexandria.
Lines closer than 0.1° are merged.

Structure:
```
data_Mn2Be9Mo
_symmetry_space_group_name_H-M 'R -3 m'
_symmetry_Int_Tables_number 166
_symmetry_space_group_name_Hall '-R 3 2"'
_cell_length_a 4.2621
_cell_length_b 4.2621
_cell_length_c 20.2162
_cell_angle_alpha 90.00
_cell_angle_beta 90.00
_cell_angle_gamma 120.00
loop_
_atom_site_label
_atom_site_fract_x
_atom_site_fract_y
_atom_site_fract_z
Mn1 0.0000 0.0000 0.1443
Be1 0.0000 0.0000 0.3338
Be2 0.0000 0.0000 0.5000
Be3 0.0050 0.5025 0.9152
Mo1 0.0000 0.0000 0.0000
```

Peak list (10 most intense, 5 to 70 degrees two-theta, in order of rising 2θ)
- 2θ = 24.52°, I = 1000
- 2θ = 25.69°, I = 176
- 2θ = 26.45°, I = 318
- 2θ = 32.85°, I = 133
- 2θ = 39.62°, I = 578
- 2θ = 42.42°, I = 512
- 2θ = 43.40°, I = 287
- 2θ = 49.60°, I = 233
- 2θ = 50.69°, I = 515
- 2θ = 59.44°, I = 107